Record 1
For LiBe, a crystal structure in the Materials Project, relaxed with PBE gives the calculated powder XRD pattern in this record (Cu Kα).
Lines closer than 0.1° are merged.

Principal peaks in the range 2θ = 10–80°, in order of rising 2θ:
| 2θ (°) | d/Å | I_rel |
| --- | --- | --- |
| 31.83 | 2.811 | 2 |
| 45.64 | 1.988 | 100 |
| 66.52 | 1.406 | 16 |

Crystal structure
```
LiBe
1.0
2.8112 0.0000 0.0000
0.0000 2.8112 0.0000
0.0000 0.0000 2.8112
Li Be
1 1
Cartesian
0.0000 0.0000 0.0000
1.4056 1.4056 1.4056
```

***

Record 2
For LiBeO3, a crystal structure in the Materials Project, relaxed with PBE gives the calculated powder XRD pattern in this record (Cu Kα).
Lines closer than 0.1° are merged.

Principal peaks in the range 2θ = 10–80°, in order of rising 2θ:
| 2θ (°) | d/Å | I_rel |
| --- | --- | --- |
| 25.40 | 3.507 | 65 |
| 36.22 | 2.480 | 4 |
| 44.76 | 2.025 | 100 |
| 52.16 | 1.754 | 67 |
| 58.88 | 1.568 | 13 |
| 76.88 | 1.240 | 31 |

Crystal structure
```
LiBeO3
1.0
3.5072 0.0000 0.0000
0.0000 3.5072 0.0000
0.0000 0.0000 3.5072
Li Be O
1 1 3
Cartesian
0.0000 0.0000 0.0000
1.7536 1.7536 1.7536
0.0000 1.7536 1.7536
1.7536 0.0000 1.7536
1.7536 1.7536 0.0000
```

***

Record 3
For LiBePO5, a crystal structure in the Materials Project, relaxed with PBE gives the calculated powder XRD pattern in this record (Cu Kα).
Lines closer than 0.1° are merged.

Principal peaks in the range 2θ = 10–80°, in order of rising 2θ:
| 2θ (°) | d/Å | I_rel |
| --- | --- | --- |
| 14.45 | 6.129 | 91 |
| 21.75 | 4.086 | 54 |
| 23.59 | 3.772 | 32 |
| 29.61 | 3.017 | 100 |
| 30.84 | 2.899 | 91 |
| 37.60 | 2.392 | 36 |

Crystal structure
```
LiBePO5
1.0
9.8038 0.0000 0.0000
0.0000 7.8526 0.0000
0.0000 0.0000 4.7850
Li Be P O
4 4 4 20
Cartesian
1.8082 1.6296 0.0000
3.0937 5.5559 2.3925
6.7102 2.2966 0.0000
7.9956 6.2229 2.3925
1.4338 3.0767 2.3697
3.4681 7.0030 4.7622
6.3357 0.8496 2.3697
8.3701 4.7759 4.7622
1.5395 4.7011 4.7547
3.3624 0.7748 2.3622
6.4414 7.0778 4.7547
8.2643 3.1515 2.3622
0.0352 0.6784 4.6994
0.1084 5.2225 4.5429
1.7408 3.3889 3.9399
1.8155 4.4012 1.4672
2.3563 1.8239 1.8638
2.5456 5.7502 4.2563
3.0864 0.4749 3.8597
3.1611 7.3152 1.5474
4.7935 1.2962 2.1504
4.8668 4.6047 2.3069
4.9371 3.2479 4.6994
5.0103 6.5564 4.5429
6.6427 0.5374 3.9399
6.7174 7.3777 1.4672
7.2582 2.1024 1.8638
7.4475 6.0287 4.2563
7.9884 3.4514 3.8597
8.0630 4.4637 1.5474
9.6954 2.6301 2.1504
9.7687 7.1742 2.3069
```

***

Record 4
For LiBe2Rh, a crystal structure in the Materials Project, relaxed with PBE gives the calculated powder XRD pattern in this record (Cu Kα).
Lines closer than 0.1° are merged.

Principal peaks in the range 2θ = 10–80°, in order of rising 2θ:
| 2θ (°) | d/Å | I_rel |
| --- | --- | --- |
| 19.90 | 4.463 | 75 |
| 24.39 | 3.650 | 100 |
| 35.70 | 2.515 | 37 |
| 41.17 | 2.193 | 36 |
| 46.13 | 1.968 | 51 |
| 59.04 | 1.565 | 41 |

Crystal structure
```
LiBe2Rh
1.0
-1.3108 2.0000 4.4626
1.3108 -2.0000 4.4626
1.3108 2.0000 -4.4626
Li Be Rh
1 2 1
Cartesian
0.0000 0.0000 0.0000
0.0000 0.0000 2.2629
0.0000 0.0000 6.6624
0.0000 0.0000 4.4626
```